Diffraction record for Ce2Zn2Sn2H3. The XRD peak list is simulated, not measured: it uses a cell relaxed with GGA-PBE and Cu Kα (weighted mean of Kα1 and Kα2).

Peak list (10 most intense, 5° ≤ 2θ ≤ 70°, in order of rising 2θ)
| hkl | 2θ (°) | I/Imax |
| --- | --- | --- |
| 1 0 0 | 23.33 | 3 |
| 1 0 1 | 23.85 | 5 |
| 1 0 4 | 30.74 | 100 |
| 1 0 5 | 34.27 | 6 |
| 0 0 8 | 40.10 | 14 |
| 1 1 0 | 41.00 | 48 |
| 2 0 4 | 52.10 | 23 |
| 1 1 8 | 58.69 | 28 |
| 1 0 12 | 67.08 | 8 |
| 2 1 4 | 68.35 | 20 |

Structural model:
Lattice parameters (Å, degrees): 4.4031 4.4031 17.9901 90.00 90.00 120.00
Space group P6_3mc (No. 186)
Inequivalent atoms, fractional coordinates:
Ce: 0.0000 0.0000 0.0000
Ce: 0.0000 0.0000 0.2493
Zn: 0.3333 0.6667 0.1318
Zn: 0.3333 0.6667 0.8661
Sn: 0.3333 0.6667 0.3878
Sn: 0.3333 0.6667 0.6129
H: 0.3333 0.6667 0.0032
H: 0.3333 0.6667 0.2359
H: 0.3333 0.6667 0.7641

***

Diffraction record for KCeHf4O12. The XRD peak list is simulated, not measured: it uses a cell relaxed with GGA-PBE and Cu Kα (weighted mean of Kα1 and Kα2).

Peak list (10 most intense, 5° ≤ 2θ ≤ 70°, in order of rising 2θ)
| hkl | 2θ (°) | I/Imax |
| --- | --- | --- |
| 1 1 1 | 18.87 | 19 |
| 0 0 2 | 21.74 | 61 |
| 0 2 0 | 22.01 | 29 |
| 2 0 2 | 30.93 | 50 |
| 2 2 0 | 31.13 | 100 |
| 0 0 4 | 44.31 | 30 |
| 0 4 0 | 44.88 | 14 |
| 4 2 2 | 55.14 | 45 |
| 2 4 2 | 55.51 | 23 |
| 0 4 4 | 64.91 | 17 |

Structural model:
Lattice parameters (Å, degrees): 8.1704 8.0777 8.1838 90.00 90.00 90.00
Space group Amm2 (No. 38)
Inequivalent atoms, fractional coordinates:
K: 0.0000 0.0000 0.0000
Ce: 0.5000 0.0000 0.4908
Hf: 0.2467 0.2478 0.7451
O: 0.0000 0.2305 0.2374
O: 0.2305 0.0000 0.7840
O: 0.2895 0.2110 0.4951
O: 0.3141 0.0000 0.2501
O: 0.5000 0.1807 0.7230

***

Diffraction record for KCeHfSnO6. The XRD peak list is simulated, not measured: it uses a cell relaxed with GGA-PBE and Cu Kα (weighted mean of Kα1 and Kα2).

Peak list (10 most intense, 5° ≤ 2θ ≤ 70°, in order of rising 2θ)
| hkl | 2θ (°) | I/Imax |
| --- | --- | --- |
| 1 1 1 | 18.71 | 14 |
| 2 0 0 | 21.64 | 14 |
| 2 2 0 | 30.79 | 100 |
| 3 1 1 | 36.27 | 8 |
| 4 0 0 | 44.10 | 31 |
| 3 3 1 | 48.30 | 4 |
| 4 2 0 | 49.63 | 6 |
| 4 2 2 | 54.75 | 41 |
| 4 4 0 | 64.13 | 19 |
| 6 0 0 | 68.54 | 3 |

Structural model:
Lattice parameters (Å, degrees): 8.2141 8.2141 8.2141 90.00 90.00 90.00
Space group F-43m (No. 216)
Inequivalent atoms, fractional coordinates:
K: 0.0000 0.0000 0.0000
Ce: 0.0000 0.0000 0.5000
Hf: 0.2500 0.2500 0.2500
Sn: 0.2500 0.2500 0.7500
O: 0.0000 0.2500 0.2500

***

Diffraction record for CeHfMg6. The XRD peak list is simulated, not measured: it uses a cell relaxed with GGA-PBE and Cu Kα (weighted mean of Kα1 and Kα2).

Peak list (10 most intense, 5° ≤ 2θ ≤ 70°, in order of rising 2θ)
| hkl | 2θ (°) | I/Imax |
| --- | --- | --- |
| 0 0 2 | 14.77 | 86 |
| 1 0 0 | 17.04 | 63 |
| 1 0 2 | 22.62 | 65 |
| 0 0 4 | 29.79 | 22 |
| 0 2 2 | 32.88 | 43 |
| 1 2 0 | 34.01 | 23 |
| 2 0 0 | 34.50 | 100 |
| 1 2 2 | 37.26 | 92 |
| 2 2 0 | 45.82 | 31 |
| 2 2 2 | 48.38 | 29 |

Structural model:
Lattice parameters (Å, degrees): 5.2042 6.1146 11.9971 90.00 90.00 90.00
Space group Amm2 (No. 38)
Inequivalent atoms, fractional coordinates:
Ce: 0.0000 0.0000 0.0000
Hf: 0.0000 0.0000 0.4927
Mg: 0.0000 0.2489 0.7481
Mg: 0.5000 0.0000 0.1619
Mg: 0.5000 0.0000 0.6438
Mg: 0.5000 0.2445 0.4023

***

Diffraction record for CeHfMg6. The XRD peak list is simulated, not measured: it uses a cell relaxed with GGA-PBE and Cu Kα (weighted mean of Kα1 and Kα2).

Peak list (10 most intense, 5° ≤ 2θ ≤ 70°, in order of rising 2θ)
| hkl | 2θ (°) | I/Imax |
| --- | --- | --- |
| 0 0 2 | 15.36 | 31 |
| 0 1 1 | 15.64 | 100 |
| 1 0 2 | 23.39 | 23 |
| 0 2 2 | 31.58 | 30 |
| 1 1 3 | 32.32 | 34 |
| 2 0 0 | 35.48 | 25 |
| 1 0 4 | 35.84 | 47 |
| 1 2 2 | 36.34 | 52 |
| 2 1 1 | 38.99 | 21 |
| 2 2 0 | 45.40 | 23 |

Structural model:
Lattice parameters (Å, degrees): 5.0600 6.5050 11.5369 90.00 90.00 90.00
Space group Amm2 (No. 38)
Inequivalent atoms, fractional coordinates:
Ce: 0.0000 0.0000 0.0000
Hf: 0.5000 0.0000 0.8737
Mg: 0.0000 0.0000 0.5169
Mg: 0.0000 0.2389 0.7626
Mg: 0.5000 0.0000 0.3583
Mg: 0.5000 0.2445 0.6138

***

Diffraction record for CeHfMg14O16. The XRD peak list is simulated, not measured: it uses a cell relaxed with GGA-PBE and Cu Kα (weighted mean of Kα1 and Kα2).

Peak list (10 most intense, 5° ≤ 2θ ≤ 70°, in order of rising 2θ)
| hkl | 2θ (°) | I/Imax |
| --- | --- | --- |
| 1 1 0 | 14.12 | 87 |
| 2 0 0 | 20.03 | 51 |
| 1 1 1 | 24.71 | 62 |
| 2 0 1 | 28.57 | 42 |
| 3 1 0 | 31.91 | 38 |
| 2 2 1 | 35.14 | 59 |
| 3 1 1 | 38.04 | 39 |
| 4 0 0 | 40.70 | 100 |
| 0 0 2 | 41.00 | 50 |
| 4 0 2 | 59.14 | 60 |

Structural model:
Lattice parameters (Å, degrees): 8.8677 8.8677 4.4030 90.00 90.00 90.00
Space group P4/mmm (No. 123)
Inequivalent atoms, fractional coordinates:
Ce: 0.0000 0.0000 0.0000
Hf: 0.5000 0.5000 0.0000
Mg: 0.0000 0.2661 0.5000
Mg: 0.0000 0.5000 0.0000
Mg: 0.2448 0.5000 0.5000
Mg: 0.2572 0.2572 0.0000
O: 0.0000 0.0000 0.5000
O: 0.0000 0.2661 0.0000
O: 0.0000 0.5000 0.5000
O: 0.2399 0.5000 0.0000
O: 0.2489 0.2489 0.5000
O: 0.5000 0.5000 0.5000